1.
This entry pairs a crystal structure of TmPaSe2N with its calculated powder diffractogram. Radiation: Cu Kα (λ = 1.5418 Å). Structure: a crystal structure in Alexandria, relaxed with PBE.
Intensities are scaled so that the largest is 100.

Largest 10 diffraction maxima, low angle first, 10 to 80 degrees two-theta:
2θ (°)	d_spacing	I/Imax
12.8	6.916	24.2
25.8	3.458	28.0
26.2	3.406	58.5
32.3	2.768	100.0
34.6	2.591	65.6
41.8	2.161	37.1
46.4	1.957	41.9
51.6	1.771	26.2
59.2	1.562	28.6
77.1	1.238	28.4

Atomic structure:
```
data_TmPaSe2N
_chemical_formula_sum 'Tm2 Pa2 Se4 N2'
_space_group_name_H-M_alt 'P 4/n m m'
_space_group_IT_number 129
_cell_length_a 3.9142
_cell_length_b 3.9142
_cell_length_c 13.8315
_cell_angle_alpha 90.00
_cell_angle_beta 90.00
_cell_angle_gamma 90.00
loop_
_space_group_symop_operation_xyz
'x,y,z'
'-x,-y,-z'
'-y+1/2,x,z'
'y+1/2,-x,-z'
'-x+1/2,-y+1/2,z'
'x+1/2,y+1/2,-z'
'y,-x+1/2,z'
'-y,x+1/2,-z'
'x+1/2,-y,-z'
'-x+1/2,y,z'
'-y,-x,-z'
'y,x,z'
'-x,y+1/2,-z'
'x,-y+1/2,z'
'y+1/2,x+1/2,-z'
'-y+1/2,-x+1/2,z'
loop_
_atom_site_label
_atom_site_type_symbol
_atom_site_fract_x
_atom_site_fract_y
_atom_site_fract_z
Tm1 Tm 0.2500 0.2500 0.0979
Pa1 Pa 0.2500 0.2500 0.5867
Se1 Se 0.2500 0.2500 0.3059
Se2 Se 0.2500 0.2500 0.8888
N1 N 0.2500 0.7500 0.5000
```

---

2.
This entry pairs a crystal structure of UPaSe2N with its calculated powder diffractogram. Radiation: Cu Kα (λ = 1.5418 Å). Structure: a crystal structure in Alexandria, relaxed with PBE.
Intensities are scaled so that the largest is 100.

Largest 10 diffraction maxima, low angle first, 10 to 80 degrees two-theta:
2θ (°)	d_spacing	I/Imax
12.9	6.857	28.3
26.0	3.428	26.1
26.1	3.408	69.3
32.2	2.777	100.0
34.7	2.583	87.5
41.9	2.158	35.2
46.2	1.964	40.5
51.8	1.765	26.0
53.8	1.703	35.8
59.1	1.563	38.9

Atomic structure:
```
data_UPaSe2N
_chemical_formula_sum 'U2 Pa2 Se4 N2'
_space_group_name_H-M_alt 'P 4/n m m'
_space_group_IT_number 129
_cell_length_a 3.9279
_cell_length_b 3.9279
_cell_length_c 13.7135
_cell_angle_alpha 90.00
_cell_angle_beta 90.00
_cell_angle_gamma 90.00
loop_
_space_group_symop_operation_xyz
'x,y,z'
'-x,-y,-z'
'-y+1/2,x,z'
'y+1/2,-x,-z'
'-x+1/2,-y+1/2,z'
'x+1/2,y+1/2,-z'
'y,-x+1/2,z'
'-y,x+1/2,-z'
'x+1/2,-y,-z'
'-x+1/2,y,z'
'-y,-x,-z'
'y,x,z'
'-x,y+1/2,-z'
'x,-y+1/2,z'
'y+1/2,x+1/2,-z'
'-y+1/2,-x+1/2,z'
loop_
_atom_site_label
_atom_site_type_symbol
_atom_site_fract_x
_atom_site_fract_y
_atom_site_fract_z
U1 U 0.2500 0.2500 0.0897
Pa1 Pa 0.2500 0.2500 0.5873
Se1 Se 0.2500 0.2500 0.3073
Se2 Se 0.2500 0.2500 0.8758
N1 N 0.2500 0.7500 0.5000
```

---

3.
This entry pairs a crystal structure of Pa2SiN5 with its calculated powder diffractogram. Radiation: Cu Kα (λ = 1.5418 Å). Structure: a crystal structure in Alexandria, relaxed with PBE.
Intensities are scaled so that the largest is 100.

Largest 10 diffraction maxima, low angle first, 10 to 80 degrees two-theta:
2θ (°)	d_spacing	I/Imax
16.0	5.552	61.5
20.0	4.441	37.1
28.6	3.118	95.7
29.4	3.039	90.4
30.2	2.961	74.8
31.6	2.829	85.9
31.8	2.810	67.6
32.9	2.724	100.0
44.9	2.020	52.7
47.9	1.898	56.4

Atomic structure:
```
data_Pa2SiN5
_chemical_formula_sum 'Pa8 Si4 N20'
_space_group_name_H-M_alt 'P 1 21/c 1'
_space_group_IT_number 14
_cell_length_a 9.2286
_cell_length_b 7.1116
_cell_length_c 6.7366
_cell_angle_alpha 90.00
_cell_angle_beta 105.74
_cell_angle_gamma 90.00
loop_
_space_group_symop_operation_xyz
'x,y,z'
'-x,-y,-z'
'-x,y+1/2,-z+1/2'
'x,-y+1/2,z+1/2'
loop_
_atom_site_label
_atom_site_type_symbol
_atom_site_fract_x
_atom_site_fract_y
_atom_site_fract_z
Pa1 Pa 0.0188 0.1240 0.2486
Pa2 Pa 0.3710 0.1370 0.0643
Si1 Si 0.2945 0.5929 0.0215
N1 N 0.1011 0.6385 0.9703
N2 N 0.1078 0.1173 0.9427
N3 N 0.2895 0.0927 0.3461
N4 N 0.3732 0.0322 0.7450
N5 N 0.3954 0.7041 0.5145
```

---

Question: Which formula does entry 1 have?
Answer: TmPaSe2N